Record 1
Starting from a structure optimized by DFT (GGA-PBE), the powder X-ray diffraction pattern of SnBiAuO5 was calculated for Cu Kα.
Lines closer than 0.1° are merged.

Atomic structure:
```
data_SnBiAuO5
_symmetry_space_group_name_H-M 'C 1 2/c 1'
_symmetry_Int_Tables_number 15
_cell_length_a 7.880
_cell_length_b 8.978
_cell_length_c 8.003
_cell_angle_alpha 90.00
_cell_angle_beta 116.15
_cell_angle_gamma 90.00
loop_
_symmetry_equiv_pos_as_xyz
'x,y,z'
'-x,-y,-z'
'-x,y,-z+1/2'
'x,-y,z+1/2'
'x+1/2,y+1/2,z'
'-x+1/2,-y+1/2,-z'
'-x+1/2,y+1/2,-z+1/2'
'x+1/2,-y+1/2,z+1/2'
loop_
_atom_site_label
_atom_site_fract_x
_atom_site_fract_y
_atom_site_fract_z
_atom_site_occupancy
Sn1 0.250 0.250 0.000 1
Bi1 0.000 0.090 0.250 1
Au1 0.000 0.490 0.250 1
O1 0.000 0.280 0.750 1
O2 0.097 0.274 0.152 1
O3 0.237 0.015 0.029 1
```

Principal peaks in the range 5° ≤ 2θ ≤ 70°, most intense first:
h k l	d [Å]	intensity
2 0 -2	3.370	100
1 1 1	3.805	87
0 2 2	2.805	51
1 3 -1	2.735	50
2 2 0	2.778	49
0 0 4	1.796	35

=====

Record 2
Starting from a structure optimized by DFT (GGA-PBE), the powder X-ray diffraction pattern of CaCuMo was calculated for Cu Kα.
Lines closer than 0.1° are merged.

Atomic structure:
```
data_CaCuMo
_symmetry_space_group_name_H-M 'I 4 m m'
_symmetry_Int_Tables_number 107
_symmetry_space_group_name_Hall 'I 4 -2'
_cell_length_a 2.887
_cell_length_b 2.887
_cell_length_c 13.075
_cell_angle_alpha 90.00
_cell_angle_beta 90.00
_cell_angle_gamma 90.00
loop_
_atom_site_label
_atom_site_fract_x
_atom_site_fract_y
_atom_site_fract_z
_atom_site_occupancy
Ca1 0.000 0.000 0.000 1
Cu1 0.000 0.000 0.323 1
Mo1 0.000 0.000 0.692 1
```

Principal peaks in the range 5° ≤ 2θ ≤ 70°, most intense first:
h k l	d [Å]	intensity
1 0 3	2.407	100
0 0 2	6.538	39
1 1 0	2.042	33
1 1 6	1.490	15
1 0 5	1.938	15
0 0 6	2.179	14

=====

Record 3
Starting from a structure optimized by DFT (GGA-PBE), the powder X-ray diffraction pattern of MgCuAu3 was calculated for Cu Kα.
Lines closer than 0.1° are merged.

Atomic structure:
```
data_MgCuAu3
_symmetry_space_group_name_H-M 'P m m n'
_symmetry_Int_Tables_number 59
_cell_length_a 4.142
_cell_length_b 6.900
_cell_length_c 6.231
_cell_angle_alpha 90.00
_cell_angle_beta 90.00
_cell_angle_gamma 90.00
loop_
_symmetry_equiv_pos_as_xyz
'x,y,z'
'-x,-y,-z'
'-x+1/2,-y+1/2,z'
'x+1/2,y+1/2,-z'
'x+1/2,-y,-z'
'-x+1/2,y,z'
'-x,y+1/2,-z'
'x,-y+1/2,z'
loop_
_atom_site_label
_atom_site_fract_x
_atom_site_fract_y
_atom_site_fract_z
_atom_site_occupancy
Mg1 0.250 0.250 0.234 1
Cu1 0.250 0.750 0.053 1
Au1 0.250 0.043 0.786 1
Au2 0.250 0.750 0.470 1
```

Principal peaks in the range 5° ≤ 2θ ≤ 70°, most intense first:
h k l	d [Å]	intensity
1 2 1	2.439	100
0 2 2	2.312	66
1 1 2	2.342	66
1 0 1	3.449	64
2 2 2	1.542	51
1 3 0	2.011	46